For K4CaW3O12, a crystal structure in Alexandria, relaxed with PBE+U gives the computed powder diffractogram in this record (Cu Kα).
Neutral-atom scattering factors, no anomalous dispersion.

Main lines, low angle first (5° ≤ 2θ ≤ 70°):
- 2θ 15.3, I 24.4, hkl 1 1 0
- 2θ 21.7, I 61.4, hkl 2 0 0
- 2θ 26.6, I 13.3, hkl 2 1 1
- 2θ 30.8, I 100.0, hkl 2 2 0
- 2θ 41.2, I 6.5, hkl 3 2 1
- 2θ 44.2, I 33.8, hkl 4 0 0
- 2θ 49.7, I 27.1, hkl 4 2 0
- 2θ 54.8, I 38.8, hkl 4 2 2
- 2θ 64.2, I 20.1, hkl 4 4 0
- 2θ 68.6, I 12.8, hkl 6 0 0

Crystal structure
a = 8.204 Å, b = 8.204 Å, c = 8.204 Å
α = 90.00°, β = 90.00°, γ = 90.00°
Space group Im-3m (No. 229)
Unique sites:
K  0.250  0.250  0.250
Ca  0.000  0.000  0.000
W  0.000  0.000  0.500
O  0.000  0.000  0.274
O  0.000  0.250  0.500